# SrMnV2Ag2O8
Calculated powder diffractogram, copper Kα. Input: a cell relaxed with PBE+U.
Kinematic intensities with the Lorentz-polarization factor, no thermal factor.

Most intense lines, 15° ≤ 2θ ≤ 90°, sorted by position:
d 4.047, I = 108; d 2.908, I = 1000; d 2.894, I = 350; d 2.855, I = 121; d 2.831, I = 855; d 2.033, I = 178; d 2.024, I = 233; d 1.689, I = 127; d 1.652, I = 121; d 1.634, I = 125

Cell and atoms:
```
28
Lattice="5.086 -2.831 0.000 5.086 2.831 0.000 -0.264 0.000 13.894" Properties=species:S:1:pos:R:3 pbc="T T T"
Sr 4.887 2.403 10.421
Sr 5.019 -2.403 3.474
Mn 0.000 0.000 0.000
Mn -0.132 0.000 6.947
V 3.267 0.220 1.788
V 3.135 -0.220 8.735
V 6.772 0.220 5.159
V 6.640 -0.220 12.106
Ag 3.390 0.255 5.560
Ag 3.258 -0.255 12.507
Ag 6.649 0.255 1.387
Ag 6.517 -0.255 8.334
O 4.062 1.783 1.615
O 1.543 0.333 1.448
O 1.411 -0.333 8.395
O 3.881 0.971 7.675
O 5.977 1.783 5.332
O 3.337 0.358 10.351
O 3.470 -0.358 3.404
O 5.894 0.971 13.166
O 4.013 -0.971 0.728
O 6.437 0.358 10.490
O 6.569 -0.358 3.543
O 3.930 -1.783 8.562
O 6.026 -0.971 6.219
O 8.496 0.333 5.499
O 8.364 -0.333 12.446
O 5.845 -1.783 12.279
```